Record 1
# BeW2Se
Simulated powder X-ray diffraction pattern, λ = 1.5418 Å (Cu Kα). Input: a cell relaxed with GGA-PBE.

Structural model:
```
BeW2Se
1.0
4.3813 -1.5272 0.0000
4.3813 1.5272 0.0000
-1.2123 0.0000 4.2888
Be W Se
1 2 1
direct
0.0000 0.0000 0.0000
0.5095 0.5095 0.4783
0.7350 0.7350 0.1369
0.2599 0.2599 0.6858
```

Top 10 peaks for 10° ≤ 2θ ≤ 90°, most intense first:
- 39.34 deg, I 100
- 44.67 deg, I 77
- 31.14 deg, I 53
- 25.27 deg, I 43
- 41.74 deg, I 41
- 42.90 deg, I 40
- 33.62 deg, I 38
- 50.72 deg, I 23
- 52.89 deg, I 22
- 20.71 deg, I 21


Record 2
# La4Sn2Te
Simulated powder X-ray diffraction pattern, λ = 1.5418 Å (Cu Kα). Input: a cell relaxed with GGA-PBE.

Structural model:
```
La4Sn2Te
1.0
-4.7573 4.7573 6.7040
4.7573 -4.7573 6.7040
4.7573 4.7573 -6.7040
La Sn Te
8 4 2
direct
0.2626 0.2894 0.5267
0.2626 0.7359 0.9733
0.2641 0.7374 0.5267
0.2894 0.2626 0.0267
0.7106 0.7374 0.9733
0.7359 0.2626 0.4733
0.7374 0.2641 0.0267
0.7374 0.7106 0.4733
0.0000 0.5000 0.5000
0.5000 0.0000 0.0000
0.5000 0.5000 0.0000
0.5000 0.5000 0.5000
0.1250 0.8750 0.2500
0.8750 0.1250 0.7500
```

Top 10 peaks for 10° ≤ 2θ ≤ 90°, most intense first:
- 37.87 deg, I 100
- 26.53 deg, I 70
- 21.93 deg, I 38
- 34.64 deg, I 30
- 22.92 deg, I 27
- 68.35 deg, I 18
- 46.83 deg, I 17
- 11.40 deg, I 16
- 18.67 deg, I 16
- 34.76 deg, I 15